LiTiMn3O8: calculated PXRD pattern (Cu Ka), based on a DFT-relaxed cell (PBE+U, Alexandria).

Atomic structure:
```
data_LiTiMn3O8
_chemical_formula_sum 'Li3 Ti3 Mn9 O24'
_space_group_name_H-M_alt 'P -1'
_space_group_IT_number 2
_space_group_name_Hall '-P 1'
_cell_length_a 5.9482
_cell_length_b 6.1260
_cell_length_c 14.2667
_cell_angle_alpha 90.34
_cell_angle_beta 90.21
_cell_angle_gamma 116.38
loop_
_atom_site_label
_atom_site_type_symbol
_atom_site_fract_x
_atom_site_fract_y
_atom_site_fract_z
Li1 Li 0.0000 0.0000 0.0000
Li2 Li 0.1241 0.4016 0.6327
Ti1 Ti 0.2043 0.9097 0.6775
Ti2 Ti 0.5000 0.5000 0.0000
Mn1 Mn 0.0000 0.0000 0.5000
Mn2 Mn 0.0000 0.5000 0.0000
Mn3 Mn 0.1633 0.3325 0.1673
Mn4 Mn 0.3210 0.1561 0.3325
Mn5 Mn 0.3468 0.6890 0.8357
Mn6 Mn 0.5000 0.0000 0.5000
O1 O 0.0324 0.0358 0.2467
O2 O 0.0575 0.5866 0.7533
O3 O 0.1079 0.7872 0.9236
O4 O 0.1164 0.2589 0.4090
O5 O 0.1911 0.8802 0.4231
O6 O 0.1997 0.3963 0.9212
O7 O 0.2786 0.1520 0.5862
O8 O 0.2948 0.6093 0.0833
O9 O 0.3535 0.2173 0.0852
O10 O 0.3709 0.7419 0.5931
O11 O 0.4392 0.4321 0.2547
O12 O 0.4969 0.9744 0.7477
```

Most intense lines, 2θ from 10° to 90°, by intensity:
hkl  2θ/deg  intensity
0 1 1  17.36  100.0
0 2 -4  41.34  14.7
2 0 4  42.49  14.1
-2 2 4  43.50  14.0
-2 1 3  35.58  12.5
2 -1 3  35.69  8.5
4 -2 0  62.49  7.9
0 1 -5  35.33  7.6
0 3 -3  53.52  5.4
2 1 5  55.15  4.5
2 -2 8  63.51  4.0
-2 3 5  56.88  3.2